Simulated PXRD pattern
Compound: Cs2TiCl5
Radiation: copper Kα
Structure: DFT lattice parameters and positions (GGA-PBE)
No peak broadening, texture or thermal motion is included.

Cell and atoms:
```
data_Cs2TiCl5
_chemical_formula_sum 'Cs2 Ti1 Cl5'
_cell_length_a 7.638
_cell_length_b 7.638
_cell_length_c 4.909
_cell_angle_alpha 90.00
_cell_angle_beta 90.00
_cell_angle_gamma 90.00
_symmetry_space_group_name_H-M 'P 4/m m m'
_symmetry_Int_Tables_number 123
_symmetry_space_group_name_Hall '-P 4 2'
loop_
_atom_site_label
_atom_site_fract_x
_atom_site_fract_y
_atom_site_fract_z
_atom_site_occupancy
Cs1 0.000 0.500 0.000 1
Ti1 0.000 0.000 0.500 1
Cl1 0.000 0.000 0.000 1
Cl2 0.225 0.225 0.500 1
```

Most intense lines, 10° ≤ 2θ ≤ 90°, sorted by position:
- 11.59°, I = 40, (1 0 0)
- 16.41°, I = 39, (1 1 0)
- 23.29°, I = 25, (2 0 0)
- 24.51°, I = 81, (1 1 1)
- 29.64°, I = 100, (2 0 1)
- 33.17°, I = 55, (2 2 0)
- 36.61°, I = 22, (0 0 2)
- 41.68°, I = 35, (3 1 1)
- 50.23°, I = 31, (2 2 2)
- 57.10°, I = 25, (4 2 1)

=====

Simulated PXRD pattern
Compound: Pb3ClF5
Radiation: copper Kα
Structure: DFT lattice parameters and positions (GGA-PBE)
No peak broadening, texture or thermal motion is included.

Cell and atoms:
```
data_Pb3ClF5
_chemical_formula_sum 'Pb12 Cl4 F20'
_cell_length_a 3.931
_cell_length_b 13.995
_cell_length_c 12.440
_cell_angle_alpha 90.00
_cell_angle_beta 90.00
_cell_angle_gamma 90.00
_symmetry_space_group_name_H-M 'C m c m'
_symmetry_Int_Tables_number 63
_symmetry_space_group_name_Hall '-C 2c 2'
loop_
_atom_site_label
_atom_site_fract_x
_atom_site_fract_y
_atom_site_fract_z
_atom_site_occupancy
Pb1 0.000 0.121 0.041 1
Pb2 0.000 0.366 0.250 1
Cl1 0.000 0.311 0.750 1
F1 0.000 0.069 0.642 1
F2 0.000 0.302 0.051 1
F3 0.000 0.500 0.000 1
```

Most intense lines, 10° ≤ 2θ ≤ 90°, sorted by position:
- 24.59°, I = 34, (1 1 1)
- 24.96°, I = 84, (0 2 3)
- 25.46°, I = 75, (0 4 0)
- 27.59°, I = 100, (1 1 2)
- 33.10°, I = 85, (1 3 2)
- 42.22°, I = 37, (1 5 2)
- 43.53°, I = 43, (1 1 5)
- 47.44°, I = 34, (1 3 5)
- 53.19°, I = 43, (0 2 7)
- 53.48°, I = 40, (2 4 0)

=====

Simulated PXRD pattern
Compound: Cd2In2HgI6
Radiation: copper Kα
Structure: DFT lattice parameters and positions (GGA-PBE)
No peak broadening, texture or thermal motion is included.

Cell and atoms:
```
data_Cd2In2HgI6
_chemical_formula_sum 'Cd2 In2 Hg1 I6'
_cell_length_a 8.117
_cell_length_b 8.822
_cell_length_c 8.853
_cell_angle_alpha 117.61
_cell_angle_beta 92.69
_cell_angle_gamma 106.06
_symmetry_space_group_name_H-M 'P -1'
_symmetry_Int_Tables_number 2
loop_
_symmetry_equiv_pos_as_xyz
'x,y,z'
'-x,-y,-z'
loop_
_atom_site_label
_atom_site_fract_x
_atom_site_fract_y
_atom_site_fract_z
_atom_site_occupancy
Cd1 0.142 0.207 0.221 1
In1 0.273 0.207 0.760 1
Hg1 0.500 0.000 0.500 1
I1 0.007 0.740 0.490 1
I2 0.098 0.816 0.049 1
I3 0.475 0.382 0.205 1
```

Most intense lines, 10° ≤ 2θ ≤ 90°, sorted by position:
- 13.61°, I = 48, (1 -1 0)
- 20.09°, I = 33, (0 1 -2)
- 20.98°, I = 56, (1 -2 1)
- 23.02°, I = 44, (1 -2 0)
- 23.61°, I = 100, (1 -1 2)
- 24.19°, I = 34, (0 2 0)
- 26.68°, I = 54, (1 2 -1)
- 29.41°, I = 34, (2 0 -2)
- 30.37°, I = 77, (2 1 -2)
- 35.86°, I = 30, (3 -2 1)

=====

Simulated PXRD pattern
Compound: Ce3HoB2N6
Radiation: copper Kα
Structure: DFT lattice parameters and positions (GGA-PBE)
No peak broadening, texture or thermal motion is included.

Cell and atoms:
```
data_Ce3HoB2N6
_chemical_formula_sum 'Ce3 Ho1 B2 N6'
_cell_length_a 5.5868
_cell_length_b 5.5868
_cell_length_c 6.3129
_cell_angle_alpha 90.00
_cell_angle_beta 90.00
_cell_angle_gamma 120.00
_symmetry_space_group_name_H-M 'P -3 m 1'
_symmetry_Int_Tables_number 164
_symmetry_space_group_name_Hall '-P 3 2"'
loop_
_atom_site_label
_atom_site_fract_x
_atom_site_fract_y
_atom_site_fract_z
_atom_site_occupancy
Ce1 0.0000 0.0000 0.0000 1
Ce2 0.3333 0.6667 0.6658 1
Ho1 0.0000 0.0000 0.5000 1
B1 0.3333 0.6667 0.2440 1
N1 0.1833 0.3666 0.2692 1
```

Most intense lines, 10° ≤ 2θ ≤ 90°, sorted by position:
- 14.03°, I = 22, (0 0 1)
- 18.34°, I = 30, (1 0 0)
- 23.16°, I = 38, (1 0 1)
- 32.04°, I = 100, (1 1 0)
- 33.91°, I = 96, (0 1 2)
- 39.91°, I = 23, (0 2 1)
- 47.34°, I = 45, (2 0 2)
- 57.11°, I = 19, (3 0 0)
- 58.31°, I = 37, (1 2 2)
- 77.26°, I = 18, (3 1 2)

=====

Simulated PXRD pattern
Compound: La5ThAu6
Radiation: copper Kα
Structure: DFT lattice parameters and positions (GGA-PBE)
No peak broadening, texture or thermal motion is included.

Cell and atoms:
```
data_La5ThAu6
_chemical_formula_sum 'La10 Th2 Au12'
_cell_length_a 16.862
_cell_length_b 7.492
_cell_length_c 5.367
_cell_angle_alpha 90.00
_cell_angle_beta 108.47
_cell_angle_gamma 90.00
_symmetry_space_group_name_H-M 'C 1 2/m 1'
_symmetry_Int_Tables_number 12
loop_
_symmetry_equiv_pos_as_xyz
'x,y,z'
'-x,-y,-z'
'-x,y,-z'
'x,-y,z'
'x+1/2,y+1/2,z'
'-x+1/2,-y+1/2,-z'
'-x+1/2,y+1/2,-z'
'x+1/2,-y+1/2,z'
loop_
_atom_site_label
_atom_site_fract_x
_atom_site_fract_y
_atom_site_fract_z
_atom_site_occupancy
La1 0.000 0.000 0.000 1
La2 0.161 0.000 0.661 1
La3 0.175 0.500 0.676 1
Th1 0.000 0.500 0.000 1
Au1 0.000 0.276 0.500 1
Au2 0.162 0.263 0.162 1
```

Most intense lines, 10° ≤ 2θ ≤ 90°, sorted by position:
- 33.39°, I = 21, (2 0 -2)
- 33.66°, I = 100, (6 0 0)
- 48.11°, I = 15, (4 0 2)
- 48.61°, I = 7, (0 4 0)
- 59.86°, I = 15, (0 2 3)
- 60.16°, I = 14, (8 2 1)
- 60.25°, I = 7, (2 4 -2)
- 60.40°, I = 7, (6 4 0)
- 70.74°, I = 6, (12 0 0)
- 81.10°, I = 5, (2 6 1)

=====

Simulated PXRD pattern
Compound: PrP2RhO8
Radiation: copper Kα
Structure: DFT lattice parameters and positions (GGA-PBE)
No peak broadening, texture or thermal motion is included.

Cell and atoms:
```
data_PrP2RhO8
_chemical_formula_sum 'Pr1 P2 Rh1 O8'
_cell_length_a 5.1370
_cell_length_b 5.1370
_cell_length_c 6.9292
_cell_angle_alpha 90.00
_cell_angle_beta 90.00
_cell_angle_gamma 120.00
_symmetry_space_group_name_H-M 'P -3 m 1'
_symmetry_Int_Tables_number 164
_symmetry_space_group_name_Hall '-P 3 2"'
loop_
_atom_site_label
_atom_site_fract_x
_atom_site_fract_y
_atom_site_fract_z
_atom_site_occupancy
Pr1 0.0000 0.0000 0.0000 1
P1 0.3333 0.6667 0.2357 1
Rh1 0.0000 0.0000 0.5000 1
O1 0.1664 0.3327 0.2977 1
O2 0.3333 0.6667 0.0136 1
```

Most intense lines, 10° ≤ 2θ ≤ 90°, sorted by position:
- 19.96°, I = 100, (1 0 0)
- 23.77°, I = 22, (0 1 1)
- 32.76°, I = 76, (1 0 2)
- 34.93°, I = 50, (1 1 0)
- 43.88°, I = 33, (1 1 2)
- 48.64°, I = 38, (2 0 2)
- 54.58°, I = 14, (2 1 0)
- 57.05°, I = 11, (0 1 4)
- 61.28°, I = 26, (2 1 2)
- 64.93°, I = 17, (1 1 4)

=====

Simulated PXRD pattern
Compound: Li5RuN3
Radiation: copper Kα
Structure: DFT lattice parameters and positions (GGA-PBE)
No peak broadening, texture or thermal motion is included.

Cell and atoms:
```
data_Li5RuN3
_chemical_formula_sum 'Li20 Ru4 N12'
_cell_length_a 10.916
_cell_length_b 4.870
_cell_length_c 6.822
_cell_angle_alpha 90.00
_cell_angle_beta 108.13
_cell_angle_gamma 90.00
_symmetry_space_group_name_H-M 'C 1 2/c 1'
_symmetry_Int_Tables_number 15
loop_
_symmetry_equiv_pos_as_xyz
'x,y,z'
'-x,-y,-z'
'-x,y,-z+1/2'
'x,-y,z+1/2'
'x+1/2,y+1/2,z'
'-x+1/2,-y+1/2,-z'
'-x+1/2,y+1/2,-z+1/2'
'x+1/2,-y+1/2,z+1/2'
loop_
_atom_site_label
_atom_site_fract_x
_atom_site_fract_y
_atom_site_fract_z
_atom_site_occupancy
Li1 0.000 0.206 0.250 1
Li2 0.169 0.261 0.571 1
Li3 0.177 0.223 0.098 1
Ru1 0.000 0.291 0.750 1
N1 0.000 0.500 0.000 1
N2 0.155 0.040 0.823 1
```

Most intense lines, 10° ≤ 2θ ≤ 90°, sorted by position:
- 17.10°, I = 100, (2 0 0)
- 22.85°, I = 100, (1 1 -1)
- 25.90°, I = 67, (1 1 1)
- 27.53°, I = 63, (0 0 2)
- 31.22°, I = 36, (3 1 -1)
- 36.96°, I = 19, (2 0 2)
- 37.89°, I = 22, (3 1 1)
- 46.66°, I = 21, (2 2 -2)
- 53.28°, I = 40, (4 2 -2)
- 53.77°, I = 20, (2 0 -4)

=====

Simulated PXRD pattern
Compound: La2Al4ZnGa3
Radiation: copper Kα
Structure: DFT lattice parameters and positions (GGA-PBE)
No peak broadening, texture or thermal motion is included.

Cell and atoms:
```
data_La2Al4ZnGa3
_chemical_formula_sum 'La2 Al4 Zn1 Ga3'
_cell_length_a 4.365
_cell_length_b 4.365
_cell_length_c 10.797
_cell_angle_alpha 90.00
_cell_angle_beta 90.00
_cell_angle_gamma 90.00
_symmetry_space_group_name_H-M 'P -4 m 2'
_symmetry_Int_Tables_number 115
loop_
_symmetry_equiv_pos_as_xyz
'x,y,z'
'y,-x,-z'
'-x,-y,z'
'-y,x,-z'
'-x,y,z'
'-y,-x,-z'
'x,-y,z'
'y,x,-z'
loop_
_atom_site_label
_atom_site_fract_x
_atom_site_fract_y
_atom_site_fract_z
_atom_site_occupancy
La1 0.000 0.500 0.245 1
Al1 0.000 0.000 0.500 1
Al2 0.000 0.500 0.871 1
Al3 0.500 0.500 0.500 1
Zn1 0.500 0.500 0.000 1
Ga1 0.000 0.000 0.000 1
Ga2 0.000 0.500 0.637 1
```

Most intense lines, 10° ≤ 2θ ≤ 90°, sorted by position:
- 21.96°, I = 17, (1 0 1)
- 28.93°, I = 22, (1 1 0)
- 32.24°, I = 67, (1 0 3)
- 33.44°, I = 100, (1 1 2)
- 41.37°, I = 51, (2 0 0)
- 46.94°, I = 31, (1 0 5)
- 53.40°, I = 32, (2 1 3)
- 64.33°, I = 24, (2 1 5)
- 70.41°, I = 22, (3 1 2)
- 84.40°, I = 20, (2 0 8)